(1)
Diffraction record for Dy4Tl2Ru. The powder XRD pattern is simulated, not measured: it uses a cell relaxed with GGA-PBE and Cu Kα (weighted mean of Kα1 and Kα2).

Structure:
```
data_Dy4Tl2Ru
_symmetry_space_group_name_H-M 'P 1'
_symmetry_Int_Tables_number 1
_symmetry_space_group_name_Hall 'P 1'
_cell_length_a 6.6139
_cell_length_b 3.5486
_cell_length_c 9.1433
_cell_angle_alpha 90.00
_cell_angle_beta 110.45
_cell_angle_gamma 90.00
loop_
_atom_site_label
_atom_site_type_symbol
_atom_site_fract_x
_atom_site_fract_y
_atom_site_fract_z
Dy1 Dy 0.1236 0.0000 0.2570
Dy2 Dy 0.3292 0.5000 0.6518
Dy3 Dy 0.6708 0.5000 0.3482
Dy4 Dy 0.8764 0.0000 0.7430
Tl1 Tl 0.2658 0.5000 0.0020
Tl2 Tl 0.7342 0.5000 0.9980
Ru1 Ru 0.0000 0.0000 0.5000
```

Most intense lines, 10 to 90 degrees two-theta, in order of rising 2θ:
2θ (°)  I_rel  index
29.03  100  1 1 0
31.32  35  0 0 3
32.56  57  1 1 1
32.76  66  0 1 2
34.03  58  2 0 1
34.48  53  2 0 -3
38.57  44  2 1 0
38.78  43  2 1 -2
40.55  49  0 1 3
51.52  53  0 2 0



(2)
Diffraction record for BaB4Pt6. The powder XRD pattern is simulated, not measured: it uses a cell relaxed with GGA-PBE and Cu Kα (weighted mean of Kα1 and Kα2).

Structure:
```
data_BaB4Pt6
_symmetry_space_group_name_H-M 'P 1'
_symmetry_Int_Tables_number 1
_symmetry_space_group_name_Hall 'P 1'
_cell_length_a 6.2717
_cell_length_b 6.2717
_cell_length_c 5.2912
_cell_angle_alpha 90.00
_cell_angle_beta 90.00
_cell_angle_gamma 120.00
loop_
_atom_site_label
_atom_site_type_symbol
_atom_site_fract_x
_atom_site_fract_y
_atom_site_fract_z
Ba1 Ba 0.0000 0.0000 0.0000
B1 B 0.3333 0.6667 0.0785
B2 B 0.3333 0.6667 0.4236
B3 B 0.6667 0.3333 0.5764
B4 B 0.6667 0.3333 0.9215
Pt1 Pt 0.0372 0.5186 0.7486
Pt2 Pt 0.4814 0.5186 0.7486
Pt3 Pt 0.4814 0.9628 0.7486
Pt4 Pt 0.5186 0.0372 0.2514
Pt5 Pt 0.5186 0.4814 0.2514
Pt6 Pt 0.9628 0.4814 0.2514
```

Most intense lines, 10 to 90 degrees two-theta, in order of rising 2θ:
2θ (°)  I_rel  index
16.32  29  1 0 0
23.47  15  1 0 1
32.98  100  2 0 0
33.88  21  0 0 2
37.83  25  0 1 2
44.82  14  1 1 2
47.51  14  1 2 1
48.01  46  2 0 2
58.90  17  2 2 0
80.82  16  2 0 4